Theoretical powder diffractogram
Compound: Li3V4NiO12
Radiation: Cu Ka
Structure: a crystal structure in Alexandria, relaxed with GGA+U
Kinematic intensities with the Lorentz-polarization factor, no thermal factor.

Atomic structure:
Cell: 10.5001 8.6510 5.8362 Å, 90.00 112.14 90.00°
Space group C2 (No. 5)
Symmetry-distinct sites (fractional):
Li: 0.0000 0.0000 0.0000 (multiplicity 2)
Li: 0.0000 0.1890 0.5000 (multiplicity 2)
Li: 0.0000 0.5432 0.5000 (multiplicity 2)
V: 0.2139 0.6804 0.9870 (multiplicity 4)
V: 0.2150 0.8704 0.4883 (multiplicity 4)
Ni: 0.0000 0.3531 0.0000 (multiplicity 2)
O: 0.1074 0.3764 0.3921 (multiplicity 4)
O: 0.1084 0.1735 0.9203 (multiplicity 4)
O: 0.1346 0.5068 0.9591 (multiplicity 4)
O: 0.1461 0.7444 0.6609 (multiplicity 4)
O: 0.1485 0.8184 0.1647 (multiplicity 4)
O: 0.1536 0.0479 0.4930 (multiplicity 4)

Most intense lines, 2θ = 10–90°, in order of rising 2θ:
2θ (°)	I/Imax	(hkl)
18.24	31	2 0 0
18.57	20	1 1 -1
20.53	25	0 2 0
26.39	36	0 2 1
28.40	100	2 2 -1
29.42	46	3 1 0
33.14	49	0 0 2
46.45	19	2 4 -1
51.51	20	2 2 -3
54.02	20	5 3 -1


Theoretical powder diffractogram
Compound: Li3V2Ni2O8
Radiation: Cu Ka
Structure: a crystal structure in Alexandria, relaxed with GGA+U
Kinematic intensities with the Lorentz-polarization factor, no thermal factor.

Atomic structure:
Cell: 10.2435 5.9601 5.8851 Å, 90.00 124.99 90.00°
Space group C2/m (No. 12)
Symmetry-distinct sites (fractional):
Li: 0.0000 0.0000 0.0000 (multiplicity 2)
Li: 0.2500 0.2500 0.0000 (multiplicity 4)
V: 0.0000 0.5000 0.0000 (multiplicity 2)
V: 0.0000 0.5000 0.5000 (multiplicity 2)
Ni: 0.2500 0.2500 0.5000 (multiplicity 4)
O: 0.0009 0.2781 0.7634 (multiplicity 8)
O: 0.2227 0.5000 0.2299 (multiplicity 4)
O: 0.2259 0.5000 0.7188 (multiplicity 4)

Most intense lines, 2θ = 10–90°, in order of rising 2θ:
2θ (°)	I/Imax	(hkl)
18.26	73	1 1 0
18.42	72	2 0 -1
35.42	30	0 2 1
35.53	14	2 0 1
35.67	16	3 1 -2
37.00	12	2 2 0
37.32	11	0 0 2
43.18	100	2 2 -2
57.01	14	5 1 0
62.69	35	2 2 2